Starting from a GGA-PBE-relaxed structure, the XRD peak list of NaScB2O5 was simulated for Cu Ka.

Top 10 peaks for 10° ≤ 2θ ≤ 90°, by angle:
d_spacing, I (rel.), index
5.679, 37, 1 1 0
4.679, 26, 1 1 -1
3.469, 10, 2 0 0
2.977, 12, 1 3 0
2.857, 100, 0 0 2
2.840, 11, 2 2 0
2.801, 36, 1 3 -1
1.954, 25, 3 3 -1
1.714, 13, 1 3 -3
1.673, 14, 3 3 1

Structural model:
```
NaScB2O5
1.0
7.312 0.000 0.000
0.000 9.888 0.000
-1.904 0.000 5.717
Na Sc B O
4 4 8 20
Direct
0.225 0.077 0.201
0.225 0.423 0.701
0.775 0.577 0.299
0.775 0.923 0.799
0.246 0.672 0.278
0.246 0.828 0.778
0.754 0.172 0.222
0.754 0.328 0.722
0.087 0.120 0.677
0.087 0.380 0.177
0.443 0.099 0.755
0.443 0.401 0.255
0.557 0.599 0.745
0.557 0.901 0.245
0.913 0.620 0.823
0.913 0.880 0.323
0.070 0.702 0.920
0.070 0.798 0.420
0.077 0.502 0.279
0.077 0.998 0.779
0.267 0.174 0.677
0.267 0.326 0.177
0.389 0.672 0.651
0.389 0.828 0.151
0.444 0.537 0.234
0.444 0.963 0.734
0.556 0.037 0.266
0.556 0.463 0.766
0.611 0.172 0.849
0.611 0.328 0.349
0.733 0.674 0.823
0.733 0.826 0.323
0.923 0.002 0.221
0.923 0.498 0.721
0.930 0.202 0.580
0.930 0.298 0.080
```